1.
This entry pairs a crystal structure of Na2In3Pb with its theoretical powder diffraction line list. Radiation: Cu Kα. Structure: a DFT-relaxed cell (PBE, Alexandria).

Cell and atoms:
```
6
Lattice="3.396 0.000 0.000 0.000 5.284 0.000 0.000 0.000 9.248" Properties=species:S:1:pos:R:3 pbc="T T T"
Na 0.000 0.000 0.000
Na 0.000 2.642 4.591
In 1.698 0.000 3.050
In 1.698 0.000 6.042
In 1.698 2.642 1.605
Pb 1.698 2.642 7.706
```

Largest 12 diffraction maxima, low angle first, 2θ = 15–90°:
| d (Å) | I/Imax |
| --- | --- |
| 4.624 | 30 |
| 4.588 | 63 |
| 3.396 | 67 |
| 2.732 | 100 |
| 2.663 | 100 |
| 2.642 | 49 |
| 2.095 | 70 |
| 2.085 | 35 |
| 1.901 | 22 |
| 1.541 | 20 |
| 1.432 | 28 |
| 1.394 | 19 |

2.
This entry pairs a crystal structure of Na5In12Pb2 with its theoretical powder diffraction line list. Radiation: Cu Kα. Structure: a DFT-relaxed cell (PBE, Alexandria).

Cell and atoms:
```
19
Lattice="4.191 -13.230 0.000 4.191 13.230 0.000 0.000 0.000 4.890" Properties=species:S:1:pos:R:3 pbc="T T T"
Na 0.000 0.000 0.000
Na 4.191 6.135 0.000
Na 4.191 3.490 2.445
Na 4.191 -3.490 2.445
Na 4.191 -6.135 0.000
In 2.709 7.967 2.445
In 1.757 3.382 0.000
In 4.191 10.927 2.445
In 1.757 -3.382 0.000
In 5.673 7.967 2.445
In 4.191 1.501 0.000
In 4.191 -1.501 0.000
In 2.709 -7.967 2.445
In 6.625 3.382 0.000
In 4.191 -10.927 2.445
In 6.625 -3.382 0.000
In 5.673 -7.967 2.445
Pb 2.516 0.000 2.445
Pb 5.866 0.000 2.445
```

Largest 12 diffraction maxima, low angle first, 2θ = 15–90°:
| d (Å) | I/Imax |
| --- | --- |
| 3.932 | 47 |
| 3.038 | 33 |
| 2.868 | 100 |
| 2.817 | 57 |
| 2.664 | 27 |
| 2.445 | 49 |
| 2.415 | 36 |
| 2.327 | 39 |
| 1.905 | 18 |
| 1.801 | 17 |
| 1.646 | 18 |
| 1.462 | 34 |

3.
This entry pairs a crystal structure of Na5In4Pb with its theoretical powder diffraction line list. Radiation: Cu Kα. Structure: a DFT-relaxed cell (PBE, Alexandria).

Cell and atoms:
```
10
Lattice="2.618 1.511 12.033 -2.618 1.511 12.033 0.000 -3.023 12.033" Properties=species:S:1:pos:R:3 pbc="T T T"
Na 0.000 0.000 0.000
Na 0.000 0.000 3.567
Na 0.000 0.000 7.127
Na 0.000 0.000 10.693
Na 0.000 0.000 25.486
In 0.000 0.000 13.980
In 0.000 0.000 16.971
In 0.000 0.000 29.604
In 0.000 0.000 32.702
Pb 0.000 0.000 21.710
```

Largest 12 diffraction maxima, low angle first, 2θ = 15–90°:
| d (Å) | I/Imax |
| --- | --- |
| 4.499 | 35 |
| 4.397 | 19 |
| 4.051 | 35 |
| 4.011 | 33 |
| 3.840 | 21 |
| 2.824 | 52 |
| 2.618 | 100 |
| 2.368 | 18 |
| 2.241 | 26 |
| 2.192 | 40 |
| 1.920 | 19 |
| 1.511 | 18 |

4.
This entry pairs a crystal structure of NaIn3Pb with its theoretical powder diffraction line list. Radiation: Cu Kα. Structure: a DFT-relaxed cell (PBE, Alexandria).

Cell and atoms:
```
10
Lattice="6.921 0.000 0.000 0.000 7.126 0.000 -3.157 0.000 6.430" Properties=species:S:1:pos:R:3 pbc="T T T"
Na 0.000 0.000 0.000
Na 3.460 3.563 0.000
In -1.518 1.554 3.231
In -1.518 5.572 3.231
In 0.552 0.000 4.886
In 1.942 2.009 3.231
In 1.942 5.117 3.231
In 4.013 3.563 4.886
Pb -0.136 3.563 1.389
Pb 3.324 0.000 1.389
```

Largest 12 diffraction maxima, low angle first, 2θ = 15–90°:
| d (Å) | I/Imax |
| --- | --- |
| 4.683 | 65 |
| 4.577 | 63 |
| 3.191 | 52 |
| 3.111 | 100 |
| 2.481 | 78 |
| 2.411 | 25 |
| 2.387 | 62 |
| 2.316 | 34 |
| 2.301 | 31 |
| 2.219 | 32 |
| 1.650 | 26 |
| 1.526 | 30 |